Structure and calculated X-ray diffraction stick pattern of MnCl3F4 (a DFT-relaxed cell (GGA+U, Alexandria); Cu Kα, 1.54184 Å).
Lines closer than 0.1° are merged.

Structure:
Unit cell a=3.9148 b=9.0246 c=9.9471 alpha=96.34 beta=93.85 gamma=92.25
Space group P-1 (No. 2)
Symmetry-distinct sites (fractional):
Mn1 0.0253 0.0028 0.1559 (multiplicity 2)
Cl1 0.3920 0.4057 0.3251 (multiplicity 2)
Cl2 0.4096 0.3874 0.6507 (multiplicity 2)
Cl3 0.4124 0.6014 0.0050 (multiplicity 2)
F1 0.0095 0.1372 0.0119 (multiplicity 2)
F2 0.0291 0.8559 0.2624 (multiplicity 2)
F3 0.0618 0.1552 0.2903 (multiplicity 2)
F4 0.4758 0.9964 0.8512 (multiplicity 2)

The 10 most intense peaks (2θ = 10–80°), low angle first:
hkl 0 1 -1, 12.57 deg, 7.041 Å, I = 539; hkl 0 1 1, 14.09 deg, 6.285 Å, I = 392; hkl 0 2 0, 19.82 deg, 4.480 Å, I = 534; hkl 1 -1 0, 24.45 deg, 3.641 Å, I = 1000; hkl 1 1 0, 25.32 deg, 3.517 Å, I = 556; hkl 0 1 -3, 27.83 deg, 3.205 Å, I = 586; hkl 0 1 3, 29.99 deg, 2.980 Å, I = 449; hkl 1 0 -3, 34.39 deg, 2.608 Å, I = 151; hkl 0 4 -3, 46.39 deg, 1.957 Å, I = 200; hkl 0 4 3, 51.95 deg, 1.760 Å, I = 219